Simulated powder diffraction line list
Compound: CoSiO3
Radiation: a wavelength of 1.5418 Å
Structure: the GGA+U geometry in OQMD

Most intense lines, 2θ from 10° to 90°, sorted by position:
| d/Å | I (rel.) | (hkl) |
| --- | --- | --- |
| 2.970 | 100 | 1 2 0 |
| 2.484 | 37 | 1 0 2 |
| 2.359 | 14 | 1 1 -2 |
| 2.298 | 15 | 0 2 2 |
| 2.075 | 14 | 1 2 -2 |
| 1.664 | 18 | 2 2 -2 |
| 1.662 | 18 | 2 2 2 |
| 1.502 | 15 | 1 4 2 |

Atomic structure:
Cell lengths 4.8193, 7.5429, 5.7978 Å; angles 90.00, 90.10, 90.00 degrees
Fractional coordinates of all 20 atoms:
Co  0.9998  0.0002  0.2492
Co  0.0002  0.9998  0.7508
Co  0.0002  0.5002  0.2508
Co  0.9998  0.4998  0.7492
Si  0.4519  0.2466  0.5004
Si  0.4519  0.2534  0.0004
Si  0.5481  0.7466  0.9996
Si  0.5481  0.7534  0.4996
O  0.2483  0.0828  0.0002
O  0.2483  0.4172  0.5002
O  0.2524  0.0738  0.5001
O  0.2524  0.4262  0.0001
O  0.3601  0.7500  0.2494
O  0.3601  0.7500  0.7494
O  0.6399  0.2500  0.2506
O  0.6399  0.2500  0.7506
O  0.7476  0.5738  0.9999
O  0.7476  0.9262  0.4999
O  0.7517  0.5828  0.4998
O  0.7517  0.9172  0.9998